This entry pairs a crystal structure of Sm2CuBiO6 with its simulated X-ray diffraction stick pattern. Radiation: Cu Kα X-rays. Structure: a crystal structure in Alexandria, relaxed with GGA-PBE.

Most intense lines, 10° ≤ 2θ ≤ 90°, low angle first:
hkl 1 1 0, 2θ 18.51, intensity 200
hkl 2 0 -1, 2θ 19.21, intensity 182
hkl 1 1 1, 2θ 28.94, intensity 1000
hkl 3 1 -1, 2θ 30.32, intensity 846
hkl 0 2 0, 2θ 32.23, intensity 369
hkl 2 0 -2, 2θ 32.63, intensity 290
hkl 1 1 -2, 2θ 37.22, intensity 207
hkl 4 0 0, 2θ 37.94, intensity 260
hkl 2 2 -2, 2θ 46.53, intensity 320
hkl 4 2 0, 2θ 50.61, intensity 279

```
data_Sm2CuBiO6
_symmetry_space_group_name_H-M 'C 1 2/m 1'
_symmetry_Int_Tables_number 12
_symmetry_space_group_name_Hall '-C 2y'
_cell_length_a 10.6679
_cell_length_b 5.5548
_cell_length_c 5.4988
_cell_angle_alpha 90.00
_cell_angle_beta 117.22
_cell_angle_gamma 90.00
loop_
_atom_site_label
_atom_site_fract_x
_atom_site_fract_y
_atom_site_fract_z
_atom_site_occupancy
Sm1 0.2443 0.0000 0.2044 1
Cu1 0.0000 0.5000 0.0000 1
Bi1 0.0000 0.0000 0.5000 1
O1 0.0844 0.2641 0.8586 1
O2 0.2293 0.0000 0.5983 1
```

This entry pairs a crystal structure of Er5AlSi2 with its simulated X-ray diffraction stick pattern. Radiation: Cu Kα X-rays. Structure: a crystal structure in Alexandria, relaxed with GGA-PBE.

Most intense lines, 10° ≤ 2θ ≤ 90°, low angle first:
hkl 2 0 2, 2θ 26.96, intensity 163
hkl 2 1 1, 2θ 27.21, intensity 511
hkl 1 1 4, 2θ 30.96, intensity 240
hkl 2 1 3, 2θ 32.97, intensity 1000
hkl 2 0 4, 2θ 35.33, intensity 490
hkl 3 1 0, 2θ 37.70, intensity 446
hkl 4 1 3, 2θ 54.00, intensity 463
hkl 4 0 4, 2θ 55.61, intensity 202
hkl 3 3 4, 2θ 58.44, intensity 254
hkl 4 1 7, 2θ 70.30, intensity 234

```
data_Er5AlSi2
_symmetry_space_group_name_H-M 'I 4/m c m'
_symmetry_Int_Tables_number 140
_symmetry_space_group_name_Hall '-I 4 2c'
_cell_length_a 7.5449
_cell_length_b 7.5449
_cell_length_c 13.7437
_cell_angle_alpha 90.00
_cell_angle_beta 90.00
_cell_angle_gamma 90.00
loop_
_atom_site_label
_atom_site_fract_x
_atom_site_fract_y
_atom_site_fract_z
_atom_site_occupancy
Er1 0.0000 0.0000 0.0000 1
Er2 0.1702 0.3298 0.1415 1
Al1 0.0000 0.0000 0.2500 1
Si1 0.1263 0.3737 0.5000 1
```

This entry pairs a crystal structure of Tb7SmTh2 with its simulated X-ray diffraction stick pattern. Radiation: Cu Kα X-rays. Structure: a crystal structure in Alexandria, relaxed with GGA-PBE.

Most intense lines, 10° ≤ 2θ ≤ 90°, low angle first:
hkl 4 0 0, 2θ 31.94, intensity 559
hkl 2 0 -2, 2θ 32.21, intensity 547
hkl 1 3 1, 2θ 32.72, intensity 1000
hkl 3 3 -1, 2θ 32.85, intensity 990
hkl 2 0 2, 2θ 45.82, intensity 208
hkl 6 0 -2, 2θ 46.18, intensity 203
hkl 5 3 1, 2θ 57.34, intensity 206
hkl 7 3 -1, 2θ 57.58, intensity 202
hkl 1 3 -3, 2θ 57.68, intensity 201
hkl 5 3 -3, 2θ 57.92, intensity 199

```
data_Tb7SmTh2
_symmetry_space_group_name_H-M 'C 1 2/m 1'
_symmetry_Int_Tables_number 12
_symmetry_space_group_name_Hall '-C 2y'
_cell_length_a 12.4726
_cell_length_b 11.3552
_cell_length_c 5.5580
_cell_angle_alpha 90.00
_cell_angle_beta 116.03
_cell_angle_gamma 90.00
loop_
_atom_site_label
_atom_site_fract_x
_atom_site_fract_y
_atom_site_fract_z
_atom_site_occupancy
Tb1 0.0000 0.0000 0.0000 1
Tb2 0.0000 0.1618 0.5000 1
Tb3 0.2493 0.1500 0.2492 1
Sm1 0.0000 0.5000 0.5000 1
Th1 0.0000 0.3437 0.0000 1
```

This entry pairs a crystal structure of K2U2BeS6 with its simulated X-ray diffraction stick pattern. Radiation: Cu Kα X-rays. Structure: a crystal structure in Alexandria, relaxed with GGA-PBE.

Most intense lines, 10° ≤ 2θ ≤ 90°, low angle first:
hkl 0 0 1, 2θ 11.79, intensity 1000
hkl 0 2 0, 2θ 14.11, intensity 234
hkl 1 1 -1, 2θ 17.28, intensity 283
hkl 1 1 1, 2θ 21.80, intensity 160
hkl 0 0 2, 2θ 23.71, intensity 162
hkl 1 3 0, 2θ 25.52, intensity 244
hkl 1 3 -1, 2θ 26.55, intensity 203
hkl 1 3 1, 2θ 29.76, intensity 586
hkl 2 0 -2, 2θ 31.82, intensity 201
hkl 1 3 -3, 2θ 41.23, intensity 161

```
data_K2U2BeS6
_symmetry_space_group_name_H-M 'C 1 2/m 1'
_symmetry_Int_Tables_number 12
_symmetry_space_group_name_Hall '-C 2y'
_cell_length_a 6.5628
_cell_length_b 12.5512
_cell_length_c 7.7802
_cell_angle_alpha 90.00
_cell_angle_beta 105.29
_cell_angle_gamma 90.00
loop_
_atom_site_label
_atom_site_fract_x
_atom_site_fract_y
_atom_site_fract_z
_atom_site_occupancy
K1 0.0000 0.1522 0.0000 1
U1 0.0000 0.3347 0.5000 1
Be1 0.0000 0.0000 0.5000 1
S1 0.2139 0.0000 0.3528 1
S2 0.2403 0.1864 0.7046 1
```